HoCoC: calculated X-ray powder pattern (a wavelength of 1.5418 Å), based on a structure optimized by DFT (GGA-PBE).

Lattice parameters (Å, degrees): 3.5288 3.5288 3.6014 90.00 90.00 90.00
Positions (direct):
Ho  0.0000  0.0000  0.0000
Co  0.5000  0.5000  0.5000
C  0.5000  0.5000  0.0000

Most intense lines, 15 to 90 degrees two-theta, in order of falling intensity:
d/Å	I/Imax	h k l
2.520	100.0	1 0 1
2.495	58.6	1 1 0
1.445	35.4	2 1 1
1.460	21.1	1 1 2
3.529	20.1	1 0 0
1.764	20.1	2 0 0

In4Co12C3: calculated X-ray powder pattern (a wavelength of 1.5418 Å), based on a structure optimized by DFT (GGA-PBE).

Lattice parameters (Å, degrees): 3.8284 3.8284 15.1799 90.00 90.00 90.00
Positions (direct):
In  0.0000  0.0000  0.1228
In  0.0000  0.0000  0.3747
In  0.0000  0.0000  0.6253
In  0.0000  0.0000  0.8772
Co  0.0000  0.5000  0.0000
Co  0.0000  0.5000  0.2501
Co  0.0000  0.5000  0.5000
Co  0.0000  0.5000  0.7499
Co  0.5000  0.0000  0.0000
Co  0.5000  0.0000  0.2501
Co  0.5000  0.0000  0.5000
Co  0.5000  0.0000  0.7499
Co  0.5000  0.5000  0.1197
Co  0.5000  0.5000  0.3737
Co  0.5000  0.5000  0.6263
Co  0.5000  0.5000  0.8803
C  0.5000  0.5000  0.2435
C  0.5000  0.5000  0.5000
C  0.5000  0.5000  0.7565

Most intense lines, 15 to 90 degrees two-theta, in order of falling intensity:
d/Å	I/Imax	h k l
2.204	100.0	1 1 4
1.914	35.1	2 0 0
1.153	22.4	3 1 4
1.348	20.2	2 0 8
1.897	16.9	0 0 8
1.146	10.8	1 1 12

K3CoC6N6: calculated X-ray powder pattern (a wavelength of 1.5418 Å), based on a structure optimized by DFT (GGA-PBE).

Lattice parameters (Å, degrees): 7.1476 10.4883 8.4340 90.00 107.39 90.00
Positions (direct):
K  0.0000  0.0000  0.0000
K  0.0000  0.5000  0.5000
K  0.4982  0.2202  0.8755
K  0.4982  0.2798  0.3755
K  0.5018  0.7202  0.6245
K  0.5018  0.7798  0.1245
Co  0.0000  0.0000  0.5000
Co  0.0000  0.5000  0.0000
C  0.1193  0.1609  0.5259
C  0.1193  0.3391  0.0259
C  0.1762  0.5565  0.8880
C  0.1762  0.9435  0.3880
C  0.1794  0.5496  0.2028
C  0.1794  0.9504  0.7028
C  0.8206  0.0496  0.2972
C  0.8206  0.4504  0.7972
C  0.8238  0.0565  0.6120
C  0.8238  0.4435  0.1120
C  0.8807  0.6609  0.9741
C  0.8807  0.8391  0.4741
N  0.1991  0.2396  0.0452
N  0.1991  0.2604  0.5452
N  0.2842  0.5916  0.8158
N  0.2842  0.9084  0.3158
N  0.2905  0.5785  0.3314
N  0.2905  0.9215  0.8314
N  0.7095  0.0785  0.1686
N  0.7095  0.4215  0.6686
N  0.7158  0.0916  0.6842
N  0.7158  0.4084  0.1842
N  0.8009  0.7396  0.4548
N  0.8009  0.7604  0.9548

Most intense lines, 15 to 90 degrees two-theta, in order of falling intensity:
d/Å	I/Imax	h k l
4.157	100.0	1 2 0
4.029	28.7	0 0 2
2.971	28.0	2 1 -2
2.960	27.5	1 1 2
5.335	22.2	1 1 -1
2.640	21.2	0 3 2

Number 1 is which compound? HoCoC